(1)
Calculated powder diffractogram
Compound: Y2AsS
Radiation: Cu Kα (weighted mean of Kα1 and Kα2)
Structure: a GGA-PBE-relaxed structure
Peak positions follow from Bragg's law for the DFT cell and can differ from measured ones.

Crystal structure
Unit cell a=6.9279 b=6.9279 c=6.9279 alpha=33.90 beta=33.90 gamma=33.90
Atoms (fractional coordinates):
Y 0.2493 0.2493 0.2493
Y 0.7507 0.7507 0.7507
As 0.0000 0.0000 0.0000
S 0.5000 0.5000 0.5000

Top 12 peaks for 2θ = 5–70°, most intense first:
2θ (°), I_rel
31.44, 100.0
44.88, 36.1
45.23, 35.2
55.82, 18.5
65.62, 11.2
27.07, 8.6
56.42, 6.0
13.57, 4.4
25.87, 3.7
27.34, 2.8
53.35, 2.6
34.38, 2.1

(2)
Calculated powder diffractogram
Compound: NbAlCo2
Radiation: Cu Kα (weighted mean of Kα1 and Kα2)
Structure: a GGA-PBE-relaxed structure
Peak positions follow from Bragg's law for the DFT cell and can differ from measured ones.

Crystal structure
Unit cell a=4.2239 b=4.2239 c=4.2239 alpha=60.00 beta=60.00 gamma=60.00
Atoms (fractional coordinates):
Nb 0.0000 0.0000 0.0000
Al 0.5000 0.5000 0.5000
Co 0.2500 0.2500 0.2500
Co 0.7500 0.7500 0.7500

Top 5 peaks for 2θ = 5–70°, most intense first:
2θ (°), I_rel
42.82, 100.0
25.83, 20.4
62.16, 15.6
50.69, 9.4
68.46, 3.7

(3)
Calculated powder diffractogram
Compound: Cs3Se2O8
Radiation: Cu Kα (weighted mean of Kα1 and Kα2)
Structure: a GGA-PBE-relaxed structure
Peak positions follow from Bragg's law for the DFT cell and can differ from measured ones.

Crystal structure
Unit cell a=6.4604 b=6.4604 c=8.9143 alpha=112.80 beta=112.80 gamma=60.22
Atoms (fractional coordinates):
Cs 0.0000 0.0000 0.0000
Cs 0.2103 0.2024 0.6186
Cs 0.7976 0.7897 0.3814
Se 0.4181 0.3948 0.2333
Se 0.6052 0.5819 0.7667
O 0.2906 0.7027 0.2813
O 0.2973 0.7094 0.7187
O 0.2989 0.2883 0.3081
O 0.3733 0.2788 0.0235
O 0.7102 0.2738 0.6916
O 0.7117 0.7011 0.6919
O 0.7212 0.6267 0.9765
O 0.7262 0.2898 0.3084

Top 12 peaks for 2θ = 5–70°, most intense first:
2θ (°), I_rel
24.26, 100.0
27.63, 79.9
24.91, 47.3
27.52, 40.1
37.46, 36.9
36.72, 20.2
41.30, 19.3
48.73, 15.0
46.49, 14.8
46.73, 13.9
57.05, 13.0
47.61, 13.0